# 1
Calculated X-ray diffraction stick pattern of K2GaHgCl6 for Cu Kα, from a structure optimized by DFT (GGA-PBE).
Intensities are scaled so that the largest is 100.

Top 10 peaks for 15° ≤ 2θ ≤ 90°, most intense first:
| 2θ/deg | Rel. int. |
| --- | --- |
| 24.0 | 100 |
| 16.9 | 98 |
| 34.3 | 79 |
| 49.2 | 51 |
| 38.5 | 49 |
| 42.3 | 44 |
| 28.3 | 29 |
| 52.4 | 25 |
| 66.9 | 25 |
| 55.5 | 23 |

Crystal structure
Lattice parameters (Å, degrees): 7.403 7.403 7.403 60.00 60.00 60.00
Sites, in units of the cell vectors:
1 K 0.250 0.250 0.250
2 K 0.750 0.750 0.750
3 Ga 0.000 0.000 0.000
4 Hg 0.500 0.500 0.500
5 Cl 0.232 0.232 0.768
6 Cl 0.232 0.768 0.232
7 Cl 0.232 0.768 0.768
8 Cl 0.768 0.232 0.232
9 Cl 0.768 0.232 0.768
10 Cl 0.768 0.768 0.232

***

# 2
Calculated X-ray diffraction stick pattern of GeS2 for Cu Kα, from a structure optimized by DFT (GGA-PBE).
Intensities are scaled so that the largest is 100.

Top 10 peaks for 15° ≤ 2θ ≤ 90°, most intense first:
| 2θ/deg | Rel. int. |
| --- | --- |
| 15.0 | 100 |
| 31.1 | 20 |
| 24.3 | 19 |
| 25.9 | 17 |
| 28.2 | 16 |
| 33.3 | 15 |
| 16.7 | 15 |
| 31.3 | 13 |
| 15.5 | 13 |
| 34.6 | 12 |

Crystal structure
Lattice parameters (Å, degrees): 6.965 22.866 6.964 90.00 118.82 90.00
Sites, in units of the cell vectors:
1 Ge 0.000 0.012 0.000
2 Ge 0.000 0.988 0.500
3 Ge 0.139 0.125 0.387
4 Ge 0.139 0.875 0.887
5 Ge 0.254 0.262 0.249
6 Ge 0.254 0.738 0.749
7 Ge 0.507 0.488 0.001
8 Ge 0.507 0.512 0.501
9 Ge 0.645 0.375 0.390
10 Ge 0.645 0.625 0.890
11 Ge 0.751 0.237 0.243
12 Ge 0.751 0.763 0.743
13 S 0.124 0.104 0.063
14 S 0.124 0.896 0.563
15 S 0.276 0.499 0.639
16 S 0.276 0.501 0.139
17 S 0.284 0.052 0.633
18 S 0.284 0.948 0.133
19 S 0.336 0.351 0.401
20 S 0.336 0.649 0.901
21 S 0.383 0.198 0.531
22 S 0.383 0.802 0.031
23 S 0.388 0.246 0.016
24 S 0.388 0.754 0.516
25 S 0.653 0.398 0.078
26 S 0.653 0.602 0.578
27 S 0.772 0.006 0.636
28 S 0.772 0.994 0.136
29 S 0.791 0.449 0.631
30 S 0.791 0.551 0.131
31 S 0.817 0.146 0.372
32 S 0.817 0.854 0.872
33 S 0.885 0.300 0.529
34 S 0.885 0.700 0.029
35 S 0.892 0.254 0.017
36 S 0.892 0.746 0.517

***

# 3
Calculated X-ray diffraction stick pattern of Ba2Ti3AlO8 for Cu Kα, from a structure optimized by DFT (GGA-PBE).
Intensities are scaled so that the largest is 100.

Top 10 peaks for 15° ≤ 2θ ≤ 90°, most intense first:
| 2θ/deg | Rel. int. |
| --- | --- |
| 32.5 | 100 |
| 31.9 | 46 |
| 45.7 | 39 |
| 57.2 | 39 |
| 39.9 | 24 |
| 58.5 | 18 |
| 27.3 | 16 |
| 35.6 | 14 |
| 68.2 | 13 |
| 66.6 | 12 |

Crystal structure
Lattice parameters (Å, degrees): 3.971 3.971 11.449 90.00 90.00 90.00
Sites, in units of the cell vectors:
1 Ba 0.000 0.000 0.174
2 Ba 0.000 0.000 0.826
3 Ti 0.500 0.500 0.000
4 Ti 0.500 0.500 0.355
5 Ti 0.500 0.500 0.645
6 Al 0.000 0.000 0.500
7 O 0.000 0.500 0.000
8 O 0.000 0.500 0.383
9 O 0.000 0.500 0.617
10 O 0.500 0.000 0.000
11 O 0.500 0.000 0.383
12 O 0.500 0.000 0.617
13 O 0.500 0.500 0.187
14 O 0.500 0.500 0.813

***

# 4
Calculated X-ray diffraction stick pattern of SmNiSn for Cu Kα, from a structure optimized by DFT (GGA-PBE).
Intensities are scaled so that the largest is 100.

Top 10 peaks for 15° ≤ 2θ ≤ 90°, most intense first:
| 2θ/deg | Rel. int. |
| --- | --- |
| 33.2 | 100 |
| 40.7 | 50 |
| 32.9 | 48 |
| 39.3 | 41 |
| 33.8 | 36 |
| 38.3 | 26 |
| 65.2 | 21 |
| 52.8 | 20 |
| 56.1 | 17 |
| 67.5 | 14 |

Crystal structure
Lattice parameters (Å, degrees): 7.417 4.580 7.603 90.00 90.00 90.00
Sites, in units of the cell vectors:
1 Sm 0.023 0.250 0.202
2 Sm 0.477 0.750 0.702
3 Sm 0.523 0.250 0.298
4 Sm 0.977 0.750 0.798
5 Ni 0.195 0.750 0.424
6 Ni 0.305 0.250 0.924
7 Ni 0.695 0.750 0.076
8 Ni 0.805 0.250 0.576
9 Sn 0.191 0.250 0.594
10 Sn 0.309 0.750 0.094
11 Sn 0.691 0.250 0.906
12 Sn 0.809 0.750 0.406

***

# 5
Calculated X-ray diffraction stick pattern of Mg2Ag2O5 for Cu Kα, from a structure optimized by DFT (GGA-PBE).
Intensities are scaled so that the largest is 100.

Top 10 peaks for 15° ≤ 2θ ≤ 90°, most intense first:
| 2θ/deg | Rel. int. |
| --- | --- |
| 32.7 | 100 |
| 23.7 | 89 |
| 22.2 | 69 |
| 32.9 | 61 |
| 34.6 | 38 |
| 45.4 | 35 |
| 48.4 | 28 |
| 40.0 | 22 |
| 57.1 | 22 |
| 51.8 | 20 |

Crystal structure
Lattice parameters (Å, degrees): 5.190 10.902 3.999 90.00 90.00 90.00
Sites, in units of the cell vectors:
1 Mg 0.178 0.094 0.000
2 Mg 0.322 0.594 0.000
3 Mg 0.678 0.406 0.000
4 Mg 0.822 0.906 0.000
5 Ag 0.192 0.367 0.500
6 Ag 0.308 0.867 0.500
7 Ag 0.692 0.133 0.500
8 Ag 0.808 0.633 0.500
9 O 0.000 0.000 0.500
10 O 0.235 0.652 0.500
11 O 0.243 0.900 0.000
12 O 0.257 0.400 0.000
13 O 0.265 0.152 0.500
14 O 0.500 0.500 0.500
15 O 0.735 0.848 0.500
16 O 0.743 0.600 0.000
17 O 0.757 0.100 0.000
18 O 0.765 0.348 0.500

***

# 6
Calculated X-ray diffraction stick pattern of SmMn6Ge6 for Cu Kα, from a structure optimized by DFT (GGA-PBE).
Intensities are scaled so that the largest is 100.

Top 10 peaks for 15° ≤ 2θ ≤ 90°, most intense first:
| 2θ/deg | Rel. int. |
| --- | --- |
| 41.1 | 100 |
| 34.4 | 76 |
| 40.0 | 49 |
| 46.0 | 41 |
| 38.7 | 39 |
| 72.6 | 33 |
| 79.6 | 26 |
| 66.3 | 23 |
| 44.4 | 23 |
| 48.4 | 21 |

Crystal structure
Lattice parameters (Å, degrees): 5.208 5.208 8.155 90.00 90.00 120.00
Sites, in units of the cell vectors:
1 Sm 0.000 0.000 0.000
2 Mn 0.000 0.500 0.252
3 Mn 0.000 0.500 0.748
4 Mn 0.500 0.000 0.252
5 Mn 0.500 0.000 0.748
6 Mn 0.500 0.500 0.252
7 Mn 0.500 0.500 0.748
8 Ge 0.000 0.000 0.347
9 Ge 0.000 0.000 0.653
10 Ge 0.333 0.667 0.000
11 Ge 0.333 0.667 0.500
12 Ge 0.667 0.333 0.000
13 Ge 0.667 0.333 0.500

***

# 7
Calculated X-ray diffraction stick pattern of TaInO3 for Cu Kα, from a structure optimized by DFT (GGA-PBE).
Intensities are scaled so that the largest is 100.

Top 10 peaks for 15° ≤ 2θ ≤ 90°, most intense first:
| 2θ/deg | Rel. int. |
| --- | --- |
| 31.1 | 100 |
| 55.3 | 40 |
| 44.6 | 28 |
| 64.8 | 17 |
| 73.7 | 17 |
| 21.9 | 10 |
| 82.1 | 6 |
| 50.2 | 4 |
| 69.3 | 2 |
| 86.2 | 1 |

Crystal structure
Lattice parameters (Å, degrees): 4.067 4.067 4.067 90.00 90.00 90.00
Sites, in units of the cell vectors:
1 Ta 0.000 0.000 0.000
2 In 0.500 0.500 0.500
3 O 0.000 0.000 0.500
4 O 0.000 0.500 0.000
5 O 0.500 0.000 0.000

***

# 8
Calculated X-ray diffraction stick pattern of Fe2NiN2 for Cu Kα, from a structure optimized by DFT (GGA-PBE).
Intensities are scaled so that the largest is 100.

Top 10 peaks for 15° ≤ 2θ ≤ 90°, most intense first:
| 2θ/deg | Rel. int. |
| --- | --- |
| 32.6 | 100 |
| 41.3 | 84 |
| 38.2 | 66 |
| 57.3 | 58 |
| 76.6 | 39 |
| 46.3 | 34 |
| 62.3 | 27 |
| 73.1 | 14 |
| 84.3 | 11 |
| 71.0 | 10 |

Crystal structure
Lattice parameters (Å, degrees): 6.170 6.170 6.170 30.20 30.20 30.20
Sites, in units of the cell vectors:
1 Fe 0.214 0.214 0.214
2 Fe 0.786 0.786 0.786
3 Ni 0.000 0.000 0.000
4 N 0.103 0.103 0.103
5 N 0.897 0.897 0.897

***

# 9
Calculated X-ray diffraction stick pattern of CeSbRh for Cu Kα, from a structure optimized by DFT (GGA-PBE).
Intensities are scaled so that the largest is 100.

Top 10 peaks for 15° ≤ 2θ ≤ 90°, most intense first:
| 2θ/deg | Rel. int. |
| --- | --- |
| 33.1 | 100 |
| 39.6 | 58 |
| 32.2 | 48 |
| 38.7 | 45 |
| 33.4 | 39 |
| 38.5 | 26 |
| 64.1 | 23 |
| 52.0 | 22 |
| 55.7 | 18 |
| 71.6 | 14 |

Crystal structure
Lattice parameters (Å, degrees): 7.342 4.658 7.837 90.00 90.00 90.00
Sites, in units of the cell vectors:
1 Ce 0.014 0.250 0.198
2 Ce 0.486 0.750 0.698
3 Ce 0.514 0.250 0.302
4 Ce 0.986 0.750 0.802
5 Sb 0.186 0.250 0.591
6 Sb 0.314 0.750 0.091
7 Sb 0.686 0.250 0.909
8 Sb 0.814 0.750 0.409
9 Rh 0.214 0.750 0.423
10 Rh 0.286 0.250 0.923
11 Rh 0.714 0.750 0.077
12 Rh 0.786 0.250 0.577

***

# 10
Calculated X-ray diffraction stick pattern of LiCuPO4 for Cu Kα, from a structure optimized by DFT (GGA-PBE).
Intensities are scaled so that the largest is 100.

Top 10 peaks for 15° ≤ 2θ ≤ 90°, most intense first:
| 2θ/deg | Rel. int. |
| --- | --- |
| 19.0 | 100 |
| 38.5 | 83 |
| 29.2 | 75 |
| 35.7 | 69 |
| 31.8 | 66 |
| 35.1 | 56 |
| 46.8 | 45 |
| 21.1 | 42 |
| 24.0 | 38 |
| 48.8 | 28 |

Crystal structure
Lattice parameters (Å, degrees): 5.066 5.066 6.107 90.00 90.00 112.62
Sites, in units of the cell vectors:
1 Li 0.000 0.000 0.000
2 Li 0.000 0.000 0.500
3 Cu 0.311 0.689 0.750
4 Cu 0.689 0.311 0.250
5 P 0.364 0.636 0.250
6 P 0.636 0.364 0.750
7 O 0.251 0.303 0.250
8 O 0.253 0.747 0.048
9 O 0.253 0.747 0.452
10 O 0.303 0.251 0.750
11 O 0.697 0.749 0.250
12 O 0.747 0.253 0.548
13 O 0.747 0.253 0.952
14 O 0.749 0.697 0.750

***

# 11
Calculated X-ray diffraction stick pattern of NaSO2 for Cu Kα, from a structure optimized by DFT (GGA-PBE).
Intensities are scaled so that the largest is 100.

Top 10 peaks for 15° ≤ 2θ ≤ 90°, most intense first:
| 2θ/deg | Rel. int. |
| --- | --- |
| 30.8 | 100 |
| 26.4 | 80 |
| 31.4 | 61 |
| 30.6 | 55 |
| 29.7 | 40 |
| 20.5 | 35 |
| 15.5 | 30 |
| 40.8 | 28 |
| 50.6 | 25 |
| 43.5 | 24 |

Crystal structure
Lattice parameters (Å, degrees): 6.498 6.758 6.664 90.00 118.60 90.00
Sites, in units of the cell vectors:
1 Na 0.236 0.148 0.023
2 Na 0.236 0.852 0.523
3 Na 0.764 0.148 0.477
4 Na 0.764 0.852 0.977
5 S 0.309 0.337 0.572
6 S 0.309 0.663 0.072
7 S 0.691 0.337 0.928
8 S 0.691 0.663 0.428
9 O 0.180 0.185 0.642
10 O 0.180 0.815 0.142
11 O 0.386 0.238 0.414
12 O 0.386 0.762 0.914
13 O 0.614 0.238 0.086
14 O 0.614 0.762 0.586
15 O 0.820 0.185 0.858
16 O 0.820 0.815 0.358

***

# 12
Calculated X-ray diffraction stick pattern of SnP3O9 for Cu Kα, from a structure optimized by DFT (GGA-PBE).
Intensities are scaled so that the largest is 100.

Top 10 peaks for 15° ≤ 2θ ≤ 90°, most intense first:
| 2θ/deg | Rel. int. |
| --- | --- |
| 15.2 | 100 |
| 23.1 | 100 |
| 31.8 | 50 |
| 54.9 | 24 |
| 27.9 | 23 |
| 35.4 | 21 |
| 47.1 | 18 |
| 41.0 | 17 |
| 44.8 | 16 |
| 46.8 | 13 |

Crystal structure
Lattice parameters (Å, degrees): 6.725 6.725 10.295 90.00 90.00 120.00
Sites, in units of the cell vectors:
1 Sn 0.000 0.000 0.000
2 Sn 0.000 0.000 0.500
3 P 0.392 0.099 0.250
4 P 0.392 0.294 0.750
5 P 0.706 0.099 0.750
6 P 0.706 0.608 0.250
7 P 0.901 0.294 0.250
8 P 0.901 0.608 0.750
9 O 0.009 0.277 0.125
10 O 0.009 0.277 0.375
11 O 0.009 0.733 0.625
12 O 0.009 0.733 0.875
13 O 0.267 0.277 0.625
14 O 0.267 0.277 0.875
15 O 0.267 0.991 0.125
16 O 0.267 0.991 0.375
17 O 0.469 0.101 0.750
18 O 0.469 0.367 0.250
19 O 0.633 0.101 0.250
20 O 0.633 0.531 0.750
21 O 0.723 0.733 0.125
22 O 0.723 0.733 0.375
23 O 0.723 0.991 0.625
24 O 0.723 0.991 0.875
25 O 0.899 0.367 0.750
26 O 0.899 0.531 0.250